The following is a calculated XRD peak list of PrCoIO6. It was derived from a PBE+U-relaxed structure, using Cu Kα X-rays.

Cell and atoms:
```
PrCoIO6
1.0
5.1760 0.0000 0.0000
-2.5880 4.4825 0.0000
0.0000 0.0000 5.2208
Pr Co I O
1 1 1 6
direct
0.0000 0.0000 0.0000 Pr
0.3333 0.6667 0.5000 Co
0.6667 0.3333 0.5000 I
0.0130 0.3756 0.7118 O
0.0130 0.6374 0.2882 O
0.3626 0.3756 0.2882 O
0.3626 0.9870 0.7118 O
0.6244 0.6374 0.7118 O
0.6244 0.9870 0.2882 O
```

Principal peaks in the range 10° ≤ 2θ ≤ 90°, sorted by position:
26.20 deg, rel. 1000, (1 0 1)
34.66 deg, rel. 318, (1 1 0)
43.96 deg, rel. 229, (2 0 1)
49.60 deg, rel. 387, (2 -1 2)
56.75 deg, rel. 107, (1 0 3)
57.16 deg, rel. 221, (3 -1 1)
62.12 deg, rel. 112, (3 0 0)
79.20 deg, rel. 88, (3 1 1)